(1)
Theoretical PXRD pattern
Compound: Cs2BeCI6
Radiation: λ = 1.5418 Å (Cu Kα)
Structure: a crystal structure in Alexandria, relaxed with GGA-PBE
Lines closer than 0.1° are merged.

Atomic structure:
```
data_Cs2BeCI6
_cell_length_a 7.725
_cell_length_b 7.725
_cell_length_c 11.743
_cell_angle_alpha 90.00
_cell_angle_beta 90.00
_cell_angle_gamma 90.00
_space_group_name_H-M_alt 'I 4/m m m'
_space_group_IT_number 139
_space_group_name_Hall '-I 4 2'
loop_
_atom_site_label
_atom_site_type_symbol
_atom_site_fract_x
_atom_site_fract_y
_atom_site_fract_z
Cs1 Cs 0.000 0.500 0.250
Be1 Be 0.000 0.000 0.000
C1 C 0.000 0.000 0.500
I1 I 0.000 0.000 0.271
I2 I 0.243 0.243 0.000
```

Most intense lines, 2θ = 10–90°, in order of rising 2θ:
- 2θ = 27.64°, intensity 100, hkl 2 0 2
- 2θ = 30.45°, intensity 20, hkl 0 0 4
- 2θ = 32.79°, intensity 35, hkl 2 2 0
- 2θ = 45.35°, intensity 26, hkl 2 2 4
- 2θ = 47.06°, intensity 12, hkl 4 0 0
- 2θ = 52.41°, intensity 15, hkl 2 0 6
- 2θ = 55.45°, intensity 28, hkl 4 2 2
- 2θ = 57.09°, intensity 13, hkl 4 0 4
- 2θ = 73.06°, intensity 11, hkl 4 2 6
- 2θ = 86.26°, intensity 8, hkl 6 2 4

***

(2)
Theoretical PXRD pattern
Compound: Ac2VN3
Radiation: λ = 1.5418 Å (Cu Kα)
Structure: a crystal structure in Alexandria, relaxed with GGA-PBE
Lines closer than 0.1° are merged.

Atomic structure:
```
data_Ac2VN3
_cell_length_a 5.736
_cell_length_b 11.476
_cell_length_c 12.705
_cell_angle_alpha 90.00
_cell_angle_beta 90.00
_cell_angle_gamma 90.00
_space_group_name_H-M_alt 'C m c e'
_space_group_IT_number 64
_space_group_name_Hall '-C 2ac 2'
loop_
_atom_site_label
_atom_site_type_symbol
_atom_site_fract_x
_atom_site_fract_y
_atom_site_fract_z
Ac1 Ac 0.000 0.064 0.141
Ac2 Ac 0.000 0.141 0.578
V1 V 0.000 0.241 0.340
N1 N 0.000 0.080 0.372
N2 N 0.000 0.154 0.956
N3 N 0.250 0.238 0.750
```

Most intense lines, 2θ = 10–90°, in order of rising 2θ:
- 2θ = 22.27°, intensity 63, hkl 1 1 2
- 2θ = 27.31°, intensity 45, hkl 1 1 3
- 2θ = 28.09°, intensity 32, hkl 0 0 4
- 2θ = 28.92°, intensity 56, hkl 1 3 1
- 2θ = 31.19°, intensity 72, hkl 2 0 0
- 2θ = 31.44°, intensity 100, hkl 1 3 2
- 2θ = 38.76°, intensity 30, hkl 0 2 5
- 2θ = 42.47°, intensity 26, hkl 2 0 4
- 2θ = 50.54°, intensity 35, hkl 2 2 5
- 2θ = 53.56°, intensity 25, hkl 1 1 7

***

(3)
Theoretical PXRD pattern
Compound: CsUCl14
Radiation: λ = 1.5418 Å (Cu Kα)
Structure: a crystal structure in Alexandria, relaxed with GGA-PBE
Lines closer than 0.1° are merged.

Atomic structure:
```
data_CsUCl14
_cell_length_a 10.289
_cell_length_b 13.407
_cell_length_c 8.341
_cell_angle_alpha 90.00
_cell_angle_beta 107.67
_cell_angle_gamma 90.00
_space_group_name_H-M_alt 'C 1 2 1'
_space_group_IT_number 5
loop_
_space_group_symop_operation_xyz
'x,y,z'
'-x,y,-z'
'x+1/2,y+1/2,z'
'-x+1/2,y+1/2,-z'
loop_
_atom_site_label
_atom_site_type_symbol
_atom_site_fract_x
_atom_site_fract_y
_atom_site_fract_z
Cs1 Cs 0.000 0.000 0.000
U1 U 0.000 0.360 0.000
Cl1 Cl 0.000 0.475 0.500
Cl2 Cl 0.000 0.998 0.500
Cl3 Cl 0.006 0.760 0.760
Cl4 Cl 0.069 0.270 0.282
Cl5 Cl 0.126 0.475 0.777
Cl6 Cl 0.172 0.488 0.157
Cl7 Cl 0.176 0.768 0.420
Cl8 Cl 0.213 0.260 0.997
```

Most intense lines, 2θ = 10–90°, in order of rising 2θ:
- 2θ = 11.15°, intensity 100, hkl 0 0 1
- 2θ = 13.21°, intensity 40, hkl 0 2 0
- 2θ = 13.72°, intensity 28, hkl 1 1 -1
- 2θ = 17.31°, intensity 20, hkl 0 2 1
- 2θ = 18.11°, intensity 44, hkl 2 0 0
- 2θ = 21.86°, intensity 23, hkl 1 3 0
- 2θ = 22.43°, intensity 36, hkl 0 0 2
- 2θ = 23.28°, intensity 19, hkl 1 3 -1
- 2θ = 27.64°, intensity 37, hkl 2 2 -2
- 2θ = 33.05°, intensity 19, hkl 3 3 -1

***

(4)
Theoretical PXRD pattern
Compound: Pm3Nd2Sn
Radiation: λ = 1.5418 Å (Cu Kα)
Structure: a crystal structure in Alexandria, relaxed with GGA-PBE
Lines closer than 0.1° are merged.

Atomic structure:
```
data_Pm3Nd2Sn
_cell_length_a 4.939
_cell_length_b 15.587
_cell_length_c 4.963
_cell_angle_alpha 90.00
_cell_angle_beta 90.00
_cell_angle_gamma 90.00
_space_group_name_H-M_alt 'C m m m'
_space_group_IT_number 65
_space_group_name_Hall '-C 2 2'
loop_
_atom_site_label
_atom_site_type_symbol
_atom_site_fract_x
_atom_site_fract_y
_atom_site_fract_z
Pm1 Pm 0.000 0.000 0.000
Pm2 Pm 0.000 0.338 0.000
Nd1 Nd 0.000 0.160 0.500
Sn1 Sn 0.000 0.500 0.500
```

Most intense lines, 2θ = 10–90°, in order of rising 2θ:
- 2θ = 30.80°, intensity 100, hkl 1 3 1
- 2θ = 34.52°, intensity 18, hkl 0 6 0
- 2θ = 36.20°, intensity 16, hkl 0 0 2
- 2θ = 36.38°, intensity 16, hkl 2 0 0
- 2θ = 50.89°, intensity 12, hkl 0 6 2
- 2θ = 51.02°, intensity 12, hkl 2 6 0
- 2θ = 59.55°, intensity 14, hkl 1 9 1
- 2θ = 61.78°, intensity 14, hkl 1 3 3
- 2θ = 62.01°, intensity 14, hkl 3 3 1
- 2θ = 64.15°, intensity 12, hkl 2 6 2

***

Copy entry 3 word for word.
Theoretical PXRD pattern
Compound: CsUCl14
Radiation: λ = 1.5418 Å (Cu Kα)
Structure: a crystal structure in Alexandria, relaxed with GGA-PBE
Lines closer than 0.1° are merged.

Atomic structure:
```
data_CsUCl14
_cell_length_a 10.289
_cell_length_b 13.407
_cell_length_c 8.341
_cell_angle_alpha 90.00
_cell_angle_beta 107.67
_cell_angle_gamma 90.00
_space_group_name_H-M_alt 'C 1 2 1'
_space_group_IT_number 5
loop_
_space_group_symop_operation_xyz
'x,y,z'
'-x,y,-z'
'x+1/2,y+1/2,z'
'-x+1/2,y+1/2,-z'
loop_
_atom_site_label
_atom_site_type_symbol
_atom_site_fract_x
_atom_site_fract_y
_atom_site_fract_z
Cs1 Cs 0.000 0.000 0.000
U1 U 0.000 0.360 0.000
Cl1 Cl 0.000 0.475 0.500
Cl2 Cl 0.000 0.998 0.500
Cl3 Cl 0.006 0.760 0.760
Cl4 Cl 0.069 0.270 0.282
Cl5 Cl 0.126 0.475 0.777
Cl6 Cl 0.172 0.488 0.157
Cl7 Cl 0.176 0.768 0.420
Cl8 Cl 0.213 0.260 0.997
```

Most intense lines, 2θ = 10–90°, in order of rising 2θ:
- 2θ = 11.15°, intensity 100, hkl 0 0 1
- 2θ = 13.21°, intensity 40, hkl 0 2 0
- 2θ = 13.72°, intensity 28, hkl 1 1 -1
- 2θ = 17.31°, intensity 20, hkl 0 2 1
- 2θ = 18.11°, intensity 44, hkl 2 0 0
- 2θ = 21.86°, intensity 23, hkl 1 3 0
- 2θ = 22.43°, intensity 36, hkl 0 0 2
- 2θ = 23.28°, intensity 19, hkl 1 3 -1
- 2θ = 27.64°, intensity 37, hkl 2 2 -2
- 2θ = 33.05°, intensity 19, hkl 3 3 -1

***

Copy entry 3 word for word.
Theoretical PXRD pattern
Compound: CsUCl14
Radiation: λ = 1.5418 Å (Cu Kα)
Structure: a crystal structure in Alexandria, relaxed with GGA-PBE
Lines closer than 0.1° are merged.

Atomic structure:
```
data_CsUCl14
_cell_length_a 10.289
_cell_length_b 13.407
_cell_length_c 8.341
_cell_angle_alpha 90.00
_cell_angle_beta 107.67
_cell_angle_gamma 90.00
_space_group_name_H-M_alt 'C 1 2 1'
_space_group_IT_number 5
loop_
_space_group_symop_operation_xyz
'x,y,z'
'-x,y,-z'
'x+1/2,y+1/2,z'
'-x+1/2,y+1/2,-z'
loop_
_atom_site_label
_atom_site_type_symbol
_atom_site_fract_x
_atom_site_fract_y
_atom_site_fract_z
Cs1 Cs 0.000 0.000 0.000
U1 U 0.000 0.360 0.000
Cl1 Cl 0.000 0.475 0.500
Cl2 Cl 0.000 0.998 0.500
Cl3 Cl 0.006 0.760 0.760
Cl4 Cl 0.069 0.270 0.282
Cl5 Cl 0.126 0.475 0.777
Cl6 Cl 0.172 0.488 0.157
Cl7 Cl 0.176 0.768 0.420
Cl8 Cl 0.213 0.260 0.997
```

Most intense lines, 2θ = 10–90°, in order of rising 2θ:
- 2θ = 11.15°, intensity 100, hkl 0 0 1
- 2θ = 13.21°, intensity 40, hkl 0 2 0
- 2θ = 13.72°, intensity 28, hkl 1 1 -1
- 2θ = 17.31°, intensity 20, hkl 0 2 1
- 2θ = 18.11°, intensity 44, hkl 2 0 0
- 2θ = 21.86°, intensity 23, hkl 1 3 0
- 2θ = 22.43°, intensity 36, hkl 0 0 2
- 2θ = 23.28°, intensity 19, hkl 1 3 -1
- 2θ = 27.64°, intensity 37, hkl 2 2 -2
- 2θ = 33.05°, intensity 19, hkl 3 3 -1